AcHgMo2O8: simulated X-ray diffraction stick pattern (λ = 1.5418 Å (Cu Kα)), based on a crystal structure in Alexandria, relaxed with PBE+U.
Kinematic intensities with the Lorentz-polarization factor, no thermal factor.

Structural model:
a b c (Å): 6.589 6.589 6.589
angles (deg): 106.68 106.68 115.20
Fractional positions:
Ac  0.000  0.000  0.000
Hg  0.250  0.750  0.500
Mo  0.500  0.500  0.000
Mo  0.750  0.250  0.500
O  0.334  0.160  0.826
O  0.334  0.509  0.174
O  0.416  0.103  0.313
O  0.491  0.666  0.826
O  0.790  0.103  0.687
O  0.840  0.666  0.174
O  0.897  0.210  0.313
O  0.897  0.584  0.687

Principal peaks in the range 2θ from 10° to 90°, by intensity:
2θ/deg, intensity
22.60, 100
29.98, 85
44.55, 65
32.18, 28
56.02, 18
66.09, 18
16.87, 18
51.98, 17